BeZnP4: calculated powder XRD pattern (Cu Kα, 1.54184 Å), based on a cell relaxed with GGA-PBE.

Crystal structure
Lattice parameters (Å, degrees): 5.013 5.013 5.013 60.00 60.00 60.00
Element x y z (fractional)
Be: 0.000 0.000 0.000
Zn: 0.250 0.250 0.250
P: 0.121 0.626 0.626
P: 0.626 0.121 0.626
P: 0.626 0.626 0.121
P: 0.626 0.626 0.626

Principal peaks in the range 5 to 70 degrees two-theta, low angle first:
| two_theta | d/Å | I/Imax |
| --- | --- | --- |
| 21.71 | 4.093 | 26 |
| 25.12 | 3.545 | 30 |
| 35.82 | 2.507 | 32 |
| 42.28 | 2.138 | 100 |
| 44.25 | 2.047 | 35 |
| 68.80 | 1.364 | 30 |